[1]
The following is a simulated PXRD pattern of MgFe6O10F2. It was derived from a DFT-relaxed cell (PBE+U, the Materials Project), using Cu Kα, 1.54184 Å.
Neutral-atom scattering factors, no anomalous dispersion.

Largest 8 diffraction maxima, low angle first, 2θ = 15–90°:
2θ/deg	intensity
24.0	100
26.8	90
35.0	28
35.4	23
35.6	47
35.9	19
49.2	25
63.4	18

Structure:
```
MgFe6O10F2
1.0
5.1048 0.0000 0.0000
0.5711 5.6781 0.0000
0.3979 1.0767 7.5096
Mg Fe O F
1 6 10 2
Cartesian
0.0000 0.0000 0.0000
5.7803 4.3762 6.1542
0.2643 0.5528 3.7880
2.7838 3.1564 3.6675
2.7810 1.4940 6.1208
3.3384 5.1626 1.5286
5.2926 2.2364 1.4421
1.6422 6.1287 5.6525
1.2499 2.0672 3.0156
2.0856 3.2286 5.4626
2.2106 4.9100 3.1176
1.7647 0.7833 0.4691
3.7797 1.6831 4.4753
3.8641 3.3466 2.1065
4.3843 5.8288 7.0613
4.4445 0.4469 1.9478
4.9733 3.0156 7.1558
1.2078 3.7723 0.5257
4.8168 4.6103 4.4824
```



[2]
The following is a simulated PXRD pattern of KLaMo2O8. It was derived from a DFT-relaxed cell (PBE+U, the Materials Project), using Cu Kα, 1.54184 Å.
Neutral-atom scattering factors, no anomalous dispersion.

Largest 8 diffraction maxima, low angle first, 2θ = 15–90°:
2θ/deg	intensity
26.8	33
27.1	19
27.2	100
27.8	94
29.8	43
33.3	17
45.3	39
52.0	21

Structure:
```
KLaMo2O8
1.0
5.5369 -5.3848 0.0000
5.5369 5.3848 0.0000
-5.3560 0.0000 5.9912
K La Mo O
2 2 4 16
Cartesian
1.5199 3.2259 4.4934
4.1979 -3.2259 1.4978
4.1979 2.9140 1.4978
1.5199 -2.9140 4.4934
-0.6776 0.0270 4.5590
2.0004 -0.0270 1.5634
3.7174 0.0270 4.4278
6.3954 -0.0270 1.4322
-2.2462 0.8118 4.1412
1.8285 1.6579 0.7996
0.4318 -0.8118 1.1456
0.4009 0.8177 3.3873
5.1347 1.1345 0.1439
-0.8495 -1.6579 3.7952
3.0789 -0.8177 0.3917
3.2612 1.1345 2.8517
2.4567 -1.1345 3.1395
2.6389 0.8177 5.5995
6.5673 1.6579 2.1960
0.5832 -1.1345 5.8473
5.3169 -0.8177 2.6039
5.2860 0.8118 4.8456
3.8893 -1.6579 5.1916
7.9640 -0.8118 1.8500
```



[3]
The following is a simulated PXRD pattern of La4Mn5Si4O22. It was derived from a DFT-relaxed cell (PBE+U, the Materials Project), using Cu Kα, 1.54184 Å.
Neutral-atom scattering factors, no anomalous dispersion.

Largest 8 diffraction maxima, low angle first, 2θ = 15–90°:
2θ/deg	intensity
24.5	41
28.6	30
29.5	91
29.8	100
31.5	41
33.3	43
35.8	29
46.5	35

Structure:
```
La4Mn5Si4O22
1.0
7.0794 -2.8393 0.0000
7.0794 2.8393 0.0000
-4.8632 0.0000 10.7701
La Mn Si O
4 5 4 22
Cartesian
-0.4756 0.0000 2.6698
-0.3316 0.0000 8.2000
9.6273 0.0000 2.5701
9.7713 0.0000 8.1003
4.6478 1.4132 5.3850
1.3529 0.0000 5.3954
7.0794 0.0000 0.0000
7.9428 0.0000 5.3747
4.6478 -1.4132 5.3850
2.0931 0.0000 0.5437
4.6959 0.0000 2.5468
4.5997 0.0000 8.2233
7.2026 0.0000 10.2264
1.0703 1.4267 6.7257
-1.1245 0.0000 5.2457
0.9709 1.5324 9.6913
-2.4796 0.0000 9.7258
4.4796 1.3953 3.4296
3.4822 0.0000 1.4457
4.8160 1.3953 7.3405
8.3247 1.5324 1.0788
3.3915 0.0000 5.5169
8.2253 1.4267 4.0443
6.1660 0.0000 1.9183
3.1297 0.0000 8.8518
1.0703 -1.4267 6.7257
5.9042 0.0000 5.2532
0.9709 -1.5324 9.6913
4.4796 -1.3953 3.4296
5.8135 0.0000 9.3244
4.8160 -1.3953 7.3405
11.7753 0.0000 1.0443
8.3247 -1.5324 1.0788
10.4202 0.0000 5.5244
8.2253 -1.4267 4.0443
```



[4]
The following is a simulated PXRD pattern of MgZn4Co6O16. It was derived from a DFT-relaxed cell (PBE+U, the Materials Project), using Cu Kα, 1.54184 Å.
Neutral-atom scattering factors, no anomalous dispersion.

Largest 8 diffraction maxima, low angle first, 2θ = 15–90°:
2θ/deg	intensity
18.2	100
31.2	54
32.9	34
35.9	45
36.0	95
37.5	32
40.6	31
63.6	30

Structure:
```
MgZn4Co6O16
1.0
5.8037 0.0000 0.0000
2.8560 5.1267 0.0000
1.0272 0.2270 9.7617
Mg Zn Co O
1 4 6 16
Cartesian
0.0000 0.0000 0.0000
4.0893 4.3468 3.8678
4.0962 1.0507 8.0385
4.1211 0.9362 4.8701
6.0785 3.5552 9.3734
2.7349 3.5469 7.0049
2.6237 1.8522 2.2061
5.6096 3.4984 6.7370
5.5862 1.8345 2.3019
7.0069 4.3635 2.2625
6.9945 1.0287 6.8435
2.5058 3.5741 1.2840
1.1633 1.1378 1.3191
4.0789 4.3935 5.8737
2.7710 1.8854 6.1425
5.4220 5.1645 8.4386
4.2656 2.9327 8.0756
4.0800 2.4610 3.3074
2.8644 0.1799 3.3427
5.6106 3.4427 1.4075
4.2846 0.9089 1.1618
5.6462 1.7871 5.8484
7.1147 4.3195 6.0540
7.1365 2.6504 8.0169
8.5913 5.1391 8.0690
5.4227 0.2100 3.3037
6.9546 2.7608 3.2768
```



[5]
The following is a simulated PXRD pattern of Mn5CrP6O24. It was derived from a DFT-relaxed cell (PBE+U, the Materials Project), using Cu Kα, 1.54184 Å.
Neutral-atom scattering factors, no anomalous dispersion.

Largest 8 diffraction maxima, low angle first, 2θ = 15–90°:
2θ/deg	intensity
20.7	100
20.8	55
24.1	32
24.2	30
24.3	31
24.4	61
32.7	44
36.3	44

Structure:
```
Mn5CrP6O24
1.0
8.5353 0.0000 0.0000
-4.1609 7.4635 0.0000
-0.0663 -4.8873 7.0231
Mn Cr P O
5 1 6 24
Cartesian
0.0000 0.0000 0.0000
-2.4026 3.5290 2.5113
0.0369 5.0119 3.5072
1.8272 1.1153 6.0189
6.6984 -1.0278 4.5317
2.4445 1.4096 1.0043
-0.0027 1.4390 3.2436
-1.1610 5.6710 0.2644
1.2200 -2.0820 5.2885
4.2714 1.0583 3.8194
5.4759 -3.1606 6.7137
3.0894 4.6513 1.7657
-1.0525 0.3522 3.4946
-1.8704 -0.0797 6.1885
-0.2443 -1.9852 4.8185
-2.0517 6.9446 0.3740
0.6353 1.0744 1.8769
1.1694 -3.1167 6.4521
-0.6521 2.8641 3.1409
-1.1454 4.9397 1.6399
2.1417 -2.5994 4.1642
1.0480 1.6052 4.3522
0.3071 6.0529 0.0126
1.8403 -0.7466 5.7269
4.0138 -3.4822 6.9494
3.2559 0.8885 2.7095
2.4341 3.3404 1.3886
5.4917 -2.4096 5.3227
4.9345 -0.3689 3.9333
2.2085 5.2235 2.9418
6.3514 -4.4650 6.5469
3.6197 1.3866 5.2147
3.0672 5.7125 0.6008
5.2925 2.1703 3.6390
6.2529 2.5022 0.7755
4.5696 4.5644 2.1467
```